LiMn2P2HO8: theoretical powder diffractogram (Cu Kα (weighted mean of Kα1 and Kα2)), based on a DFT-relaxed cell (PBE+U, Alexandria).

Structural model:
a = 5.1935 Å, b = 8.6118 Å, c = 9.0863 Å
α = 81.79°, β = 75.62°, γ = 85.79°
Space group P-1 (No. 2)
Inequivalent atoms, fractional coordinates:
Li: 0.0965 0.3460 0.2570 x2
Mn: 0.0928 0.7291 0.0971 x2
Mn: 0.2845 0.9035 0.3914 x2
P: 0.1187 0.9246 0.7492 x2
P: 0.4420 0.4251 0.7312 x2
H: 0.4385 0.3693 0.4397 x2
O: 0.0268 0.7969 0.8865 x2
O: 0.0321 0.8655 0.6130 x2
O: 0.0453 0.9162 0.2264 x2
O: 0.1380 0.4604 0.7741 x2
O: 0.4091 0.4126 0.3342 x2
O: 0.4169 0.9486 0.7096 x2
O: 0.4559 0.6429 0.1288 x2
O: 0.4843 0.6813 0.3986 x2

Largest 10 diffraction maxima, sorted by position, 2θ from 10° to 90°:
h k l  two_theta  d_spacing  intensity
0 1 0  10.4  8.517  24
0 1 -1  15.4  5.737  74
1 1 0  20.2  4.406  100
0 0 2  20.3  4.364  37
0 2 1  22.0  4.038  59
1 0 -1  22.4  3.962  29
0 2 2  27.3  3.266  59
1 -2 0  28.0  3.188  52
1 2 -1  31.2  2.865  47
1 0 3  31.6  2.831  51